Diffraction record for CeOF. The PXRD pattern is theoretical, not measured: it uses DFT lattice parameters and positions (GGA-PBE) and Cu Kα (λ = 1.5418 Å).
Lines closer than 0.1° are merged.

Structural model:
```
6
Lattice="4.031 0.000 0.000 0.000 4.031 0.000 0.000 0.000 5.774" Properties=species:S:1:pos:R:3 pbc="T T T"
Ce 1.008 1.008 1.231
Ce 3.023 3.023 4.542
O 1.008 3.023 0.000
O 3.023 1.008 0.000
F 1.008 3.023 2.887
F 3.023 1.008 2.887
```

The 10 most intense peaks (10 to 90 degrees two-theta), by angle:
27.0 deg, intensity 100.0, hkl 1 0 1; 31.4 deg, intensity 19.0, hkl 1 1 0; 38.4 deg, intensity 8.2, hkl 1 0 2; 44.7 deg, intensity 34.8, hkl 1 1 2; 45.0 deg, intensity 20.4, hkl 2 0 0; 52.7 deg, intensity 9.8, hkl 1 0 3; 53.2 deg, intensity 30.4, hkl 2 1 1; 71.7 deg, intensity 7.7, hkl 2 1 3; 82.8 deg, intensity 10.4, hkl 3 1 2; 89.2 deg, intensity 7.3, hkl 3 2 1